This entry pairs a crystal structure of Pr3Sm8Er4 with its computed powder XRD pattern. Radiation: Cu Kα, 1.54184 Å. Structure: a PBE-relaxed structure.
Intensities are scaled so that the largest is 1000.

Top 12 peaks for 2θ = 10–90°, sorted by position:
hkl	2theta	intensity
2 0 -2	25.89	167
4 0 0	29.26	1000
0 0 2	29.78	407
4 0 -2	29.87	133
0 2 2	33.23	242
4 2 -2	33.36	244
2 4 -2	39.42	115
4 4 0	41.85	322
0 4 2	42.17	151
6 2 -2	42.33	150
4 0 -4	53.23	108
4 4 -4	61.89	117

Crystal structure
abc: 13.9819 12.2157 6.8832
angles: 90.00 119.18 90.00
Space group C2/m (No. 12)
Unique sites:
1 Pr 0.0000 0.0000 0.0000 (multiplicity 2)
2 Pr 0.2500 0.2500 0.0000 (multiplicity 4)
3 Sm 0.0000 0.2047 0.5000 (multiplicity 4)
4 Sm 0.0000 0.2530 0.0000 (multiplicity 4)
5 Sm 0.2052 0.0000 0.7023 (multiplicity 4)
6 Sm 0.2468 0.5000 0.7474 (multiplicity 4)
7 Er 0.0000 0.5000 0.0000 (multiplicity 2)
8 Er 0.0000 0.5000 0.5000 (multiplicity 2)
9 Er 0.2500 0.2500 0.5000 (multiplicity 4)